1.
Calculated powder X-ray diffraction pattern
Compound: BaCaYNbO6
Radiation: λ = 1.5418 Å (Cu Kα)
Structure: a crystal structure in the Materials Project, relaxed with PBE

Crystal structure
```
data_BaCaYNbO6
_chemical_formula_sum 'Ba4 Ca4 Y4 Nb4 O24'
_space_group_name_H-M_alt 'F -4 3 m'
_space_group_IT_number 216
_space_group_name_Hall 'F -4 2 3'
_cell_length_a 8.4731
_cell_length_b 8.4731
_cell_length_c 8.4731
_cell_angle_alpha 90.00
_cell_angle_beta 90.00
_cell_angle_gamma 90.00
loop_
_atom_site_label
_atom_site_type_symbol
_atom_site_fract_x
_atom_site_fract_y
_atom_site_fract_z
Ba1 Ba 0.0000 0.0000 0.0000
Ca1 Ca 0.0000 0.0000 0.5000
Y1 Y 0.2500 0.2500 0.2500
Nb1 Nb 0.2500 0.2500 0.7500
O1 O 0.0126 0.2500 0.7500
```

Main lines, low angle first (2θ from 10° to 90°):
hkl  2theta  Rel. int.
1 1 1  18.13  16
2 2 0  29.82  100
3 1 1  35.13  10
4 0 0  42.68  35
3 3 1  46.73  4
4 2 2  52.94  39
5 1 1  56.43  4
4 4 0  61.95  21
5 3 1  65.13  3
6 2 0  70.26  17
4 4 4  78.15  7
6 4 2  85.82  20

---

2.
Calculated powder X-ray diffraction pattern
Compound: BaCaZrNbO6
Radiation: λ = 1.5418 Å (Cu Kα)
Structure: a crystal structure in the Materials Project, relaxed with PBE

Crystal structure
```
data_BaCaZrNbO6
_chemical_formula_sum 'Ba4 Ca4 Zr4 Nb4 O24'
_space_group_name_H-M_alt 'F -4 3 m'
_space_group_IT_number 216
_space_group_name_Hall 'F -4 2 3'
_cell_length_a 8.3125
_cell_length_b 8.3125
_cell_length_c 8.3125
_cell_angle_alpha 90.00
_cell_angle_beta 90.00
_cell_angle_gamma 90.00
loop_
_atom_site_label
_atom_site_type_symbol
_atom_site_fract_x
_atom_site_fract_y
_atom_site_fract_z
Ba1 Ba 0.0000 0.0000 0.0000
Ca1 Ca 0.0000 0.0000 0.5000
Zr1 Zr 0.2500 0.2500 0.2500
Nb1 Nb 0.2500 0.2500 0.7500
O1 O 0.0043 0.2500 0.7500
```

Main lines, low angle first (2θ from 10° to 90°):
hkl  2theta  Rel. int.
1 1 1  18.49  16
2 2 0  30.41  100
3 1 1  35.83  9
4 0 0  43.55  35
3 3 1  47.69  4
4 2 2  54.05  39
5 1 1  57.62  3
4 4 0  63.29  21
5 3 1  66.55  3
6 2 0  71.83  17
4 4 4  79.96  7
6 4 2  87.90  20

---

3.
Calculated powder X-ray diffraction pattern
Compound: BaCaO2
Radiation: λ = 1.5418 Å (Cu Kα)
Structure: a crystal structure in the Materials Project, relaxed with PBE

Crystal structure
```
data_BaCaO2
_chemical_formula_sum 'Ba4 Ca4 O8'
_space_group_name_H-M_alt 'P n m a'
_space_group_IT_number 62
_cell_length_a 6.3244
_cell_length_b 3.7641
_cell_length_c 12.2617
_cell_angle_alpha 90.00
_cell_angle_beta 90.00
_cell_angle_gamma 90.00
loop_
_space_group_symop_operation_xyz
'x,y,z'
'-x,-y,-z'
'-x+1/2,-y,z+1/2'
'x+1/2,y,-z+1/2'
'x+1/2,-y+1/2,-z+1/2'
'-x+1/2,y+1/2,z+1/2'
'-x,y+1/2,-z'
'x,-y+1/2,z'
loop_
_atom_site_label
_atom_site_type_symbol
_atom_site_fract_x
_atom_site_fract_y
_atom_site_fract_z
Ba1 Ba 0.0936 0.2500 0.1422
Ca1 Ca 0.0910 0.7500 0.3927
O1 O 0.1512 0.2500 0.7523
O2 O 0.2159 0.2500 0.4817
```

Main lines, low angle first (2θ from 10° to 90°):
hkl  2theta  Rel. int.
1 0 1  15.77  16
0 1 1  24.74  16
1 0 3  25.96  30
0 0 4  29.15  56
1 1 2  31.27  100
1 1 3  35.39  30
2 0 3  35.91  20
2 1 0  37.13  18
3 1 1  50.15  20
1 1 6  52.99  18
3 1 3  54.72  15
0 2 4  57.47  17

---

4.
Calculated powder X-ray diffraction pattern
Compound: BaCaO2
Radiation: λ = 1.5418 Å (Cu Kα)
Structure: a crystal structure in the Materials Project, relaxed with PBE

Crystal structure
```
data_BaCaO2
_chemical_formula_sum 'Ba1 Ca1 O2'
_space_group_name_H-M_alt 'P 4/m m m'
_space_group_IT_number 123
_space_group_name_Hall '-P 4 2'
_cell_length_a 3.7603
_cell_length_b 3.7603
_cell_length_c 5.3085
_cell_angle_alpha 90.00
_cell_angle_beta 90.00
_cell_angle_gamma 90.00
loop_
_atom_site_label
_atom_site_type_symbol
_atom_site_fract_x
_atom_site_fract_y
_atom_site_fract_z
Ba1 Ba 0.0000 0.0000 0.0000
Ca1 Ca 0.5000 0.5000 0.5000
O1 O 0.0000 0.0000 0.5000
O2 O 0.5000 0.5000 0.0000
```

Main lines, low angle first (2θ from 10° to 90°):
hkl  2theta  Rel. int.
0 0 1  16.70  33
1 0 0  23.66  30
1 0 1  29.10  89
1 1 0  33.73  100
1 1 1  37.84  18
1 0 2  41.65  14
2 0 0  48.44  67
2 0 1  51.59  9
2 1 1  57.51  41
2 0 2  60.33  22
3 0 1  78.44  17
3 1 0  80.85  18

---

5.
Calculated powder X-ray diffraction pattern
Compound: BaCaO3
Radiation: λ = 1.5418 Å (Cu Kα)
Structure: a crystal structure in the Materials Project, relaxed with PBE

Crystal structure
```
data_BaCaO3
_chemical_formula_sum 'Ba1 Ca1 O3'
_space_group_name_H-M_alt 'P m -3 m'
_space_group_IT_number 221
_space_group_name_Hall '-P 4 2 3'
_cell_length_a 4.4644
_cell_length_b 4.4644
_cell_length_c 4.4644
_cell_angle_alpha 90.00
_cell_angle_beta 90.00
_cell_angle_gamma 90.00
loop_
_atom_site_label
_atom_site_type_symbol
_atom_site_fract_x
_atom_site_fract_y
_atom_site_fract_z
Ba1 Ba 0.0000 0.0000 0.0000
Ca1 Ca 0.5000 0.5000 0.5000
O1 O 0.0000 0.5000 0.5000
```

Main lines, low angle first (2θ from 10° to 90°):
hkl  2theta  Rel. int.
1 0 0  19.89  23
1 1 0  28.27  100
1 1 1  34.81  30
2 0 0  40.41  38
2 1 0  45.43  12
2 1 1  50.05  41
2 2 0  58.47  23
3 0 0  62.40  7
3 1 0  66.19  18
3 1 1  69.88  10
2 2 2  73.48  7
3 2 1  80.50  21

---

6.
Calculated powder X-ray diffraction pattern
Compound: Ba2CaP4O16
Radiation: λ = 1.5418 Å (Cu Kα)
Structure: a crystal structure in the Materials Project, relaxed with PBE

Crystal structure
```
data_Ba2CaP4O16
_chemical_formula_sum 'Ba4 Ca2 P8 O32'
_space_group_name_H-M_alt 'P 1 21/c 1'
_space_group_IT_number 14
_cell_length_a 5.4817
_cell_length_b 10.6174
_cell_length_c 12.8777
_cell_angle_alpha 90.00
_cell_angle_beta 100.25
_cell_angle_gamma 90.00
loop_
_space_group_symop_operation_xyz
'x,y,z'
'-x,-y,-z'
'-x,y+1/2,-z+1/2'
'x,-y+1/2,z+1/2'
loop_
_atom_site_label
_atom_site_type_symbol
_atom_site_fract_x
_atom_site_fract_y
_atom_site_fract_z
Ba1 Ba 0.1359 0.1541 0.3314
Ca1 Ca 0.0000 0.0000 0.0000
P1 P 0.2372 0.6910 0.9475
P2 P 0.4155 0.0144 0.8000
O1 O 0.0778 0.7252 0.5065
O2 O 0.1570 0.7114 0.8275
O3 O 0.1839 0.0085 0.8517
O4 O 0.2091 0.5484 0.9713
O5 O 0.3448 0.0302 0.1296
O6 O 0.3777 0.5659 0.1978
O7 O 0.4433 0.1549 0.7688
O8 O 0.4855 0.2175 0.5130
```

Main lines, low angle first (2θ from 10° to 90°):
hkl  2theta  Rel. int.
0 1 2  16.29  65
0 2 1  18.12  91
1 0 -2  19.62  58
1 0 2  23.49  97
1 1 2  24.96  91
1 1 -3  25.77  96
1 2 -2  25.88  70
0 3 1  26.14  100
0 1 4  29.42  70
1 3 1  31.72  83
0 3 3  33.02  67
2 0 -2  33.76  98

---

Q: What is the formula in the fifth record?
A: BaCaO3